(1)
YTm6Ni2Se2: computed XRD peak list (λ = 1.5418 Å (Cu Kα)), based on a structure optimized by DFT (GGA-PBE).
No peak broadening, texture or thermal motion is included.

Top 10 peaks for 2θ = 15–90°, by angle:
(1 0 1), 3.483 Å, intensity 25.3
(0 1 3), 3.000 Å, intensity 46.0
(1 1 2), 2.857 Å, intensity 52.4
(0 5 1), 2.840 Å, intensity 26.7
(0 3 3), 2.607 Å, intensity 68.5
(1 4 1), 2.547 Å, intensity 100.0
(1 3 2), 2.513 Å, intensity 59.6
(1 2 3), 2.263 Å, intensity 20.2
(2 0 0), 1.882 Å, intensity 28.6
(2 3 3), 1.526 Å, intensity 26.8

Atomic structure:
Cell lengths 3.7646, 14.9303, 9.1807 Å; angles 90.00, 90.00, 90.00 degrees
Space group Imm2 (No. 44)
Inequivalent atoms, fractional coordinates:
Y  0.0000  0.0000  0.0000 x2
Tm  0.0000  0.1256  0.4130 x4
Tm  0.0000  0.3156  0.6177 x4
Tm  0.0000  0.3590  0.2588 x4
Ni  0.0000  0.2390  0.9232 x4
Se  0.0000  0.0000  0.6595 x2
Se  0.0000  0.5000  0.7591 x2

---

(2)
U8NiSe17: computed XRD peak list (λ = 1.5418 Å (Cu Kα)), based on a structure optimized by DFT (GGA-PBE).
No peak broadening, texture or thermal motion is included.

Top 10 peaks for 2θ = 15–90°, by angle:
(2 0 -2), 4.661 Å, intensity 50.5
(2 0 2), 3.789 Å, intensity 51.0
(2 2 0), 3.664 Å, intensity 100.0
(2 2 -1), 3.591 Å, intensity 87.1
(4 2 -1), 2.697 Å, intensity 66.7
(0 0 4), 2.635 Å, intensity 97.2
(4 2 1), 2.493 Å, intensity 58.7
(3 3 -1), 2.442 Å, intensity 59.5
(4 2 -3), 2.321 Å, intensity 98.1
(0 4 0), 2.180 Å, intensity 70.1

Atomic structure:
Cell lengths 13.8407, 8.7184, 10.7826 Å; angles 90.00, 102.16, 90.00 degrees
Space group C2/m (No. 12)
Inequivalent atoms, fractional coordinates:
U  0.0625  0.2421  0.2020 x8
U  0.1794  0.5000  0.5135 x4
U  0.2005  0.0000  0.9551 x4
Ni  0.0000  0.0000  0.5000 x2
Se  0.0000  0.0000  0.0000 x2
Se  0.0209  0.5000  0.6704 x4
Se  0.0524  0.0000  0.7222 x4
Se  0.1268  0.3087  0.9629 x8
Se  0.1356  0.1870  0.4742 x8
Se  0.2017  0.5000  0.2556 x4
Se  0.2163  0.0000  0.2226 x4

---

(3)
Si4Ni: computed XRD peak list (λ = 1.5418 Å (Cu Kα)), based on a structure optimized by DFT (GGA-PBE).
No peak broadening, texture or thermal motion is included.

Top 10 peaks for 2θ = 15–90°, by angle:
(0 2 0), 4.699 Å, intensity 55.3
(1 1 1), 3.550 Å, intensity 58.7
(1 3 1), 2.426 Å, intensity 84.8
(2 2 0), 2.348 Å, intensity 90.7
(2 2 1), 2.155 Å, intensity 54.1
(2 0 2), 1.917 Å, intensity 38.4
(2 4 0), 1.775 Å, intensity 72.9
(3 1 1), 1.687 Å, intensity 100.0
(3 3 3), 1.183 Å, intensity 23.4
(0 8 0), 1.175 Å, intensity 22.4

Atomic structure:
Cell lengths 5.4257, 9.3978, 5.4175 Å; angles 90.00, 90.00, 90.00 degrees
Space group Ccce (No. 68, origin choice 2)
Inequivalent atoms, fractional coordinates:
Si  0.1653  0.1214  0.0880 x16
Ni  0.0000  0.2500  0.7500 x4

---

(4)
Si3Ni: computed XRD peak list (λ = 1.5418 Å (Cu Kα)), based on a structure optimized by DFT (GGA-PBE).
No peak broadening, texture or thermal motion is included.

Top 10 peaks for 2θ = 15–90°, by angle:
(1 1 1), 3.445 Å, intensity 15.3
(2 0 0), 2.983 Å, intensity 8.0
(2 2 0), 2.109 Å, intensity 100.0
(3 1 1), 1.799 Å, intensity 7.1
(2 2 2), 1.722 Å, intensity 2.0
(4 0 0), 1.492 Å, intensity 15.7
(3 3 1), 1.369 Å, intensity 2.5
(4 2 0), 1.334 Å, intensity 2.2
(4 2 2), 1.218 Å, intensity 31.8
(5 1 1), 1.148 Å, intensity 1.7

Atomic structure:
Cell lengths 5.9664, 5.9664, 5.9664 Å; angles 90.00, 90.00, 90.00 degrees
Space group Fm-3m (No. 225)
Inequivalent atoms, fractional coordinates:
Si  0.0000  0.0000  0.0000 x4
Si  0.2500  0.2500  0.2500 x8
Ni  0.0000  0.0000  0.5000 x4

---

(5)
Si3NiSn: computed XRD peak list (λ = 1.5418 Å (Cu Kα)), based on a structure optimized by DFT (GGA-PBE).
No peak broadening, texture or thermal motion is included.

Top 10 peaks for 2θ = 15–90°, by angle:
(1 0 0), 4.858 Å, intensity 50.5
(1 1 0), 2.805 Å, intensity 73.0
(1 0 1), 2.571 Å, intensity 83.2
(2 0 0), 2.429 Å, intensity 57.7
(1 1 1), 2.058 Å, intensity 100.0
(2 1 0), 1.836 Å, intensity 18.2
(2 1 1), 1.570 Å, intensity 27.9
(3 0 1), 1.428 Å, intensity 34.7
(2 2 0), 1.402 Å, intensity 20.7
(2 0 2), 1.286 Å, intensity 16.1

Atomic structure:
Cell lengths 5.6093, 5.6093, 3.0307 Å; angles 90.00, 90.00, 120.00 degrees
Space group P-6m2 (No. 187)
Inequivalent atoms, fractional coordinates:
Si  0.1891  0.3782  0.0000 x3
Ni  0.0000  0.0000  0.5000 x1
Sn  0.6667  0.3333  0.5000 x1

---

(6)
Zr2SiNi2Sn: computed XRD peak list (λ = 1.5418 Å (Cu Kα)), based on a structure optimized by DFT (GGA-PBE).
No peak broadening, texture or thermal motion is included.

Top 10 peaks for 2θ = 15–90°, by angle:
(1 1 -2), 3.254 Å, intensity 35.7
(2 1 -2), 2.869 Å, intensity 33.0
(2 1 -3), 2.614 Å, intensity 35.9
(3 1 -1), 2.406 Å, intensity 41.7
(2 1 2), 2.392 Å, intensity 100.0
(0 1 4), 2.322 Å, intensity 84.1
(3 1 -3), 2.271 Å, intensity 77.0
(3 0 -5), 2.171 Å, intensity 36.6
(2 1 -5), 2.035 Å, intensity 38.7
(0 2 0), 1.978 Å, intensity 85.8

Atomic structure:
Cell lengths 9.1195, 3.9555, 12.1398 Å; angles 90.00, 109.15, 90.00 degrees
Space group Pm (No. 6)
Inequivalent atoms, fractional coordinates:
Zr  0.0000  0.0000  0.0000 x1
Zr  0.0491  0.0000  0.4390 x1
Zr  0.1906  0.5000  0.9031 x1
Zr  0.2397  0.0000  0.7163 x1
Zr  0.4874  0.0000  0.3306 x1
Zr  0.5535  0.5000  0.1409 x1
Zr  0.6072  0.5000  0.5597 x1
Zr  0.9410  0.5000  0.2147 x1
Si  0.3270  0.0000  0.0776 x1
Si  0.3891  0.0000  0.5430 x1
Si  0.4379  0.5000  0.8221 x1
Si  0.7582  0.0000  0.2810 x1
Ni  0.1420  0.0000  0.2307 x1
Ni  0.2444  0.5000  0.1417 x1
Ni  0.2926  0.5000  0.5950 x1
Ni  0.4645  0.0000  0.9287 x1
Ni  0.7511  0.5000  0.3760 x1
Ni  0.7826  0.0000  0.5092 x1
Ni  0.8679  0.5000  0.8259 x1
Ni  0.9788  0.0000  0.7560 x1
Sn  0.2659  0.5000  0.3691 x1
Sn  0.6762  0.0000  0.7612 x1
Sn  0.7269  0.5000  0.9801 x1
Sn  0.9691  0.5000  0.6116 x1

---

(7)
Tb2Si5Ni3: computed XRD peak list (λ = 1.5418 Å (Cu Kα)), based on a structure optimized by DFT (GGA-PBE).
No peak broadening, texture or thermal motion is included.

Top 10 peaks for 2θ = 15–90°, by angle:
(1 2 1), 3.668 Å, intensity 48.7
(0 0 2), 2.828 Å, intensity 23.8
(0 4 0), 2.789 Å, intensity 21.9
(3 2 1), 2.486 Å, intensity 100.0
(2 0 2), 2.434 Å, intensity 53.4
(2 4 0), 2.409 Å, intensity 49.6
(0 4 2), 1.986 Å, intensity 55.4
(5 2 1), 1.723 Å, intensity 26.8
(3 2 3), 1.558 Å, intensity 23.3
(3 6 1), 1.545 Å, intensity 20.9

Atomic structure:
Cell lengths 9.5606, 11.1556, 5.6568 Å; angles 90.00, 90.00, 90.00 degrees
Space group Ibam (No. 72)
Inequivalent atoms, fractional coordinates:
Tb  0.2366  0.1312  0.0000 x8
Si  0.0000  0.0000  0.2500 x4
Si  0.0000  0.2668  0.2500 x8
Si  0.1522  0.3926  0.0000 x8
Ni  0.0000  0.5000  0.2500 x4
Ni  0.1117  0.1344  0.5000 x8

---

(8)
TbSiNi: computed XRD peak list (λ = 1.5418 Å (Cu Kα)), based on a structure optimized by DFT (GGA-PBE).
No peak broadening, texture or thermal motion is included.

Top 10 peaks for 2θ = 15–90°, by angle:
(0 1 1), 3.605 Å, intensity 40.9
(1 1 2), 2.526 Å, intensity 47.8
(2 1 1), 2.495 Å, intensity 100.0
(2 0 2), 2.484 Å, intensity 37.6
(1 0 3), 2.251 Å, intensity 18.0
(3 0 1), 2.193 Å, intensity 15.5
(0 2 0), 2.088 Å, intensity 28.2
(0 1 3), 2.068 Å, intensity 30.0
(2 2 2), 1.598 Å, intensity 32.6
(3 1 4), 1.337 Å, intensity 20.0

Atomic structure:
Cell lengths 6.9139, 4.1768, 7.1404 Å; angles 90.00, 90.00, 90.00 degrees
Space group Pnma (No. 62)
Inequivalent atoms, fractional coordinates:
Tb  0.0105  0.2500  0.2001 x4
Si  0.1898  0.2500  0.5880 x4
Ni  0.1862  0.7500  0.4174 x4

---

(9)
TbSi3Ni8: computed XRD peak list (λ = 1.5418 Å (Cu Kα)), based on a structure optimized by DFT (GGA-PBE).
No peak broadening, texture or thermal motion is included.

Top 10 peaks for 2θ = 15–90°, by angle:
(2 0 0), 2.889 Å, intensity 76.1
(1 5 -1), 2.457 Å, intensity 65.6
(0 4 2), 2.417 Å, intensity 32.3
(2 2 1), 2.218 Å, intensity 85.2
(2 4 0), 2.203 Å, intensity 49.5
(2 4 -2), 2.182 Å, intensity 71.0
(2 2 -3), 2.176 Å, intensity 92.8
(0 2 3), 2.168 Å, intensity 100.0
(0 6 1), 2.156 Å, intensity 90.7
(3 1 -1), 2.061 Å, intensity 43.9

Atomic structure:
Cell lengths 6.3082, 13.6256, 7.4887 Å; angles 90.00, 113.64, 90.00 degrees
Space group C2/c (No. 15)
Inequivalent atoms, fractional coordinates:
Tb  0.0000  0.1305  0.2500 x4
Si  0.2302  0.4538  0.3243 x8
Si  0.2500  0.2500  0.0000 x4
Ni  0.0000  0.3772  0.7500 x4
Ni  0.0000  0.5000  0.0000 x4
Ni  0.0314  0.3310  0.4221 x8
Ni  0.1352  0.0749  0.9314 x8
Ni  0.1425  0.2095  0.6718 x8

---

(10)
TlSi5Ni3: computed XRD peak list (λ = 1.5418 Å (Cu Kα)), based on a structure optimized by DFT (GGA-PBE).
No peak broadening, texture or thermal motion is included.

Top 10 peaks for 2θ = 15–90°, by angle:
(1 0 0), 4.286 Å, intensity 17.7
(1 0 1), 3.522 Å, intensity 100.0
(0 0 2), 3.090 Å, intensity 29.0
(1 0 2), 2.506 Å, intensity 37.8
(1 1 0), 2.475 Å, intensity 32.6
(1 1 1), 2.297 Å, intensity 51.7
(2 0 0), 2.143 Å, intensity 37.6
(1 0 3), 1.857 Å, intensity 29.2
(2 0 2), 1.761 Å, intensity 65.4
(2 1 1), 1.567 Å, intensity 19.9

Atomic structure:
Cell lengths 4.9491, 4.9491, 6.1799 Å; angles 90.00, 90.00, 120.00 degrees
Space group P6/mmm (No. 191)
Inequivalent atoms, fractional coordinates:
Tl  0.0000  0.0000  0.0000 x1
Si  0.0000  0.0000  0.5000 x1
Si  0.3333  0.6667  0.1959 x4
Ni  0.0000  0.5000  0.5000 x3

---

(11)
USi3Ni5: computed XRD peak list (λ = 1.5418 Å (Cu Kα)), based on a structure optimized by DFT (GGA-PBE).
No peak broadening, texture or thermal motion is included.

Top 10 peaks for 2θ = 15–90°, by angle:
(2 1 0), 3.528 Å, intensity 24.3
(1 0 2), 3.244 Å, intensity 24.0
(5 0 2), 2.470 Å, intensity 68.9
(6 1 0), 2.410 Å, intensity 29.9
(3 1 2), 2.312 Å, intensity 100.0
(0 2 0), 1.905 Å, intensity 28.2
(9 0 2), 1.755 Å, intensity 15.8
(0 0 4), 1.644 Å, intensity 14.5
(5 2 2), 1.509 Å, intensity 21.1
(11 1 2), 1.402 Å, intensity 15.7

Atomic structure:
Cell lengths 18.6707, 3.8107, 6.5783 Å; angles 90.00, 90.00, 90.00 degrees
Space group Pnma (No. 62)
Inequivalent atoms, fractional coordinates:
U  0.1434  0.2500  0.1232 x4
Si  0.0738  0.7500  0.8461 x4
Si  0.0874  0.7500  0.4182 x4
Si  0.2343  0.2500  0.6145 x4
Ni  0.0056  0.7500  0.1327 x4
Ni  0.0167  0.2500  0.3839 x4
Ni  0.1132  0.2500  0.6472 x4
Ni  0.1990  0.7500  0.8146 x4
Ni  0.2095  0.7500  0.4209 x4